Record 1
Calculated XRD peak list
Compound: Ba2DyCu4O8
Radiation: CuKα
Structure: a structure optimized by DFT (GGA-PBE)
Lines closer than 0.1° are merged.

Structural model:
```
data_Ba2DyCu4O8
_cell_length_a 3.898
_cell_length_b 27.483
_cell_length_c 3.886
_cell_angle_alpha 90.00
_cell_angle_beta 90.00
_cell_angle_gamma 90.00
_symmetry_space_group_name_H-M 'C m m m'
_symmetry_Int_Tables_number 65
_symmetry_space_group_name_Hall '-C 2 2'
loop_
_atom_site_label
_atom_site_fract_x
_atom_site_fract_y
_atom_site_fract_z
Ba1 0.000 0.136 0.000
Dy1 0.000 0.000 0.000
Cu1 0.000 0.287 0.500
Cu2 0.000 0.439 0.500
O1 0.000 0.052 0.500
O2 0.000 0.218 0.500
O3 0.000 0.355 0.500
O4 0.000 0.448 0.000
```

Top 10 peaks for 10° ≤ 2θ ≤ 90°, in order of rising 2θ:
(0 2 1), 23.79°, intensity 21
(0 6 1), 30.16°, intensity 42
(1 7 0), 32.37°, intensity 96
(1 1 1), 32.70°, intensity 100
(0 8 1), 34.86°, intensity 65
(2 0 0), 46.61°, intensity 31
(0 0 2), 46.75°, intensity 31
(1 7 2), 58.01°, intensity 37
(2 8 1), 59.50°, intensity 27
(1 15 1), 60.73°, intensity 30

---

Record 2
Calculated XRD peak list
Compound: Ba4PrDyCu6O14
Radiation: CuKα
Structure: a structure optimized by DFT (GGA-PBE)
Lines closer than 0.1° are merged.

Structural model:
```
data_Ba4PrDyCu6O14
_cell_length_a 3.878
_cell_length_b 3.943
_cell_length_c 23.667
_cell_angle_alpha 90.00
_cell_angle_beta 90.00
_cell_angle_gamma 90.00
_symmetry_space_group_name_H-M 'P m m m'
_symmetry_Int_Tables_number 47
_symmetry_space_group_name_Hall '-P 2 2'
loop_
_atom_site_label
_atom_site_fract_x
_atom_site_fract_y
_atom_site_fract_z
Ba1 0.000 0.000 0.160
Ba2 0.000 0.000 0.340
Pr1 0.000 0.000 0.000
Dy1 0.000 0.000 0.500
Cu1 0.500 0.500 0.077
Cu2 0.500 0.500 0.250
Cu3 0.500 0.500 0.425
O1 0.000 0.500 0.065
O2 0.000 0.500 0.440
O3 0.500 0.000 0.065
O4 0.500 0.000 0.250
O5 0.500 0.000 0.439
O6 0.500 0.500 0.171
O7 0.500 0.500 0.330
```

Top 10 peaks for 10° ≤ 2θ ≤ 90°, in order of rising 2θ:
(0 1 0), 22.55°, intensity 12
(0 1 6), 32.10°, intensity 47
(1 0 6), 32.38°, intensity 100
(1 1 6), 39.81°, intensity 15
(0 2 0), 46.03°, intensity 25
(2 0 0), 46.85°, intensity 14
(1 2 6), 57.40°, intensity 38
(2 1 6), 57.92°, intensity 17
(2 2 0), 67.78°, intensity 15
(2 2 12), 85.85°, intensity 8

---

Record 3
Calculated XRD peak list
Compound: BaDyCuTe3
Radiation: CuKα
Structure: a structure optimized by DFT (GGA-PBE)
Lines closer than 0.1° are merged.

Structural model:
```
data_BaDyCuTe3
_cell_length_a 4.439
_cell_length_b 14.998
_cell_length_c 11.435
_cell_angle_alpha 90.00
_cell_angle_beta 90.00
_cell_angle_gamma 90.00
_symmetry_space_group_name_H-M 'C m c m'
_symmetry_Int_Tables_number 63
_symmetry_space_group_name_Hall '-C 2c 2'
loop_
_atom_site_label
_atom_site_fract_x
_atom_site_fract_y
_atom_site_fract_z
Ba1 0.000 0.249 0.250
Dy1 0.000 0.000 0.000
Cu1 0.000 0.468 0.750
Te1 0.000 0.070 0.750
Te2 0.000 0.364 0.561
```

Top 10 peaks for 10° ≤ 2θ ≤ 90°, in order of rising 2θ:
(0 2 3), 26.23°, intensity 43
(1 3 0), 26.86°, intensity 54
(1 3 1), 27.99°, intensity 100
(1 3 2), 31.16°, intensity 74
(0 0 4), 31.29°, intensity 39
(1 1 3), 31.51°, intensity 35
(0 6 2), 39.34°, intensity 34
(1 5 2), 39.54°, intensity 40
(2 0 0), 40.65°, intensity 42
(1 3 5), 48.33°, intensity 35

---

Record 4
Calculated XRD peak list
Compound: Ba2ErMgCu4O8
Radiation: CuKα
Structure: a structure optimized by DFT (GGA-PBE)
Lines closer than 0.1° are merged.

Structural model:
```
data_Ba2ErMgCu4O8
_cell_length_a 3.979
_cell_length_b 3.740
_cell_length_c 15.044
_cell_angle_alpha 90.00
_cell_angle_beta 96.74
_cell_angle_gamma 90.00
_symmetry_space_group_name_H-M 'P 1 2/m 1'
_symmetry_Int_Tables_number 10
_symmetry_space_group_name_Hall '-P 2y'
loop_
_atom_site_label
_atom_site_fract_x
_atom_site_fract_y
_atom_site_fract_z
Ba1 0.112 0.000 0.246
Er1 0.000 0.000 0.000
Mg1 0.000 0.000 0.500
Cu1 0.339 0.500 0.591
Cu2 0.451 0.500 0.894
O1 0.045 0.500 0.097
O2 0.204 0.500 0.447
O3 0.371 0.500 0.716
O4 0.456 0.000 0.906
```

Top 10 peaks for 10° ≤ 2θ ≤ 90°, in order of rising 2θ:
(0 1 1), 24.54°, intensity 18
(1 0 3), 30.48°, intensity 24
(1 0 -4), 30.95°, intensity 38
(1 1 0), 33.00°, intensity 100
(0 1 4), 33.92°, intensity 86
(1 0 4), 34.94°, intensity 27
(2 0 -1), 45.60°, intensity 26
(0 2 0), 48.71°, intensity 35
(1 1 -8), 57.61°, intensity 17
(2 1 3), 57.71°, intensity 17

---

Record 5
Calculated XRD peak list
Compound: BaEr2CuO5
Radiation: CuKα
Structure: a structure optimized by DFT (GGA-PBE)
Lines closer than 0.1° are merged.

Structural model:
```
data_BaEr2CuO5
_cell_length_a 12.183
_cell_length_b 5.672
_cell_length_c 7.183
_cell_angle_alpha 90.00
_cell_angle_beta 90.00
_cell_angle_gamma 90.00
_symmetry_space_group_name_H-M 'P n m a'
_symmetry_Int_Tables_number 62
_symmetry_space_group_name_Hall '-P 2ac 2n'
loop_
_atom_site_label
_atom_site_fract_x
_atom_site_fract_y
_atom_site_fract_z
Ba1 0.096 0.250 0.067
Er1 0.074 0.750 0.396
Er2 0.213 0.250 0.611
Cu1 0.161 0.750 0.780
O1 0.069 0.504 0.659
O2 0.100 0.750 0.085
O3 0.228 0.003 0.355
```

Top 10 peaks for 10° ≤ 2θ ≤ 90°, in order of rising 2θ:
(3 1 1), 29.78°, intensity 100
(1 1 2), 30.36°, intensity 60
(0 2 0), 31.55°, intensity 46
(4 0 1), 31.91°, intensity 21
(2 0 3), 40.49°, intensity 15
(4 2 1), 45.49°, intensity 28
(3 2 2), 46.52°, intensity 16
(3 3 1), 55.08°, intensity 18
(4 2 3), 58.89°, intensity 16
(7 1 2), 61.41°, intensity 14

---

Record 6
Calculated XRD peak list
Compound: Ba3Er2Cu2PtO10
Radiation: CuKα
Structure: a structure optimized by DFT (GGA-PBE)
Lines closer than 0.1° are merged.

Structural model:
```
data_Ba3Er2Cu2PtO10
_cell_length_a 12.539
_cell_length_b 5.858
_cell_length_c 7.499
_cell_angle_alpha 90.00
_cell_angle_beta 105.76
_cell_angle_gamma 90.00
_symmetry_space_group_name_H-M 'C 1 2/m 1'
_symmetry_Int_Tables_number 12
_symmetry_space_group_name_Hall '-C 2y'
loop_
_atom_site_label
_atom_site_fract_x
_atom_site_fract_y
_atom_site_fract_z
Ba1 0.000 0.000 0.000
Ba2 0.154 0.000 0.545
Er1 0.189 0.500 0.874
Cu1 0.089 0.500 0.197
Pt1 0.000 0.500 0.500
O1 0.018 0.280 0.720
O2 0.168 0.500 0.556
O3 0.184 0.272 0.123
```

Top 10 peaks for 10° ≤ 2θ ≤ 90°, in order of rising 2θ:
(2 0 -1), 16.39°, intensity 16
(1 1 0), 16.82°, intensity 17
(3 1 -1), 26.96°, intensity 43
(1 1 -2), 28.27°, intensity 36
(0 2 0), 30.52°, intensity 52
(3 1 1), 32.13°, intensity 100
(3 1 -2), 32.32°, intensity 19
(1 1 -3), 39.28°, intensity 16
(4 2 -1), 42.46°, intensity 17
(3 3 1), 55.27°, intensity 21

---

Record 7
Calculated XRD peak list
Compound: BaSrErCu3O7
Radiation: CuKα
Structure: a structure optimized by DFT (GGA-PBE)
Lines closer than 0.1° are merged.

Structural model:
```
data_BaSrErCu3O7
_cell_length_a 3.781
_cell_length_b 3.899
_cell_length_c 11.662
_cell_angle_alpha 90.00
_cell_angle_beta 90.00
_cell_angle_gamma 90.00
_symmetry_space_group_name_H-M 'P m m 2'
_symmetry_Int_Tables_number 25
_symmetry_space_group_name_Hall 'P 2 -2'
loop_
_atom_site_label
_atom_site_fract_x
_atom_site_fract_y
_atom_site_fract_z
Ba1 0.000 0.000 0.000
Sr1 0.000 0.000 0.641
Er1 0.000 0.000 0.323
Cu1 0.500 0.500 0.176
Cu2 0.500 0.500 0.471
Cu3 0.500 0.500 0.817
O1 0.000 0.500 0.203
O2 0.000 0.500 0.442
O3 0.500 0.000 0.201
O4 0.500 0.000 0.446
O5 0.500 0.000 0.810
O6 0.500 0.500 0.655
O7 0.500 0.500 0.978
```

Top 10 peaks for 10° ≤ 2θ ≤ 90°, in order of rising 2θ:
(0 1 0), 22.84°, intensity 10
(0 1 3), 32.52°, intensity 47
(1 0 3), 33.02°, intensity 100
(1 1 3), 40.53°, intensity 13
(0 2 0), 46.58°, intensity 15
(0 0 6), 46.74°, intensity 10
(2 0 0), 48.13°, intensity 14
(1 2 3), 58.34°, intensity 39
(2 1 3), 59.29°, intensity 17
(2 2 0), 69.22°, intensity 8